# Li3Ni5O8
Computed powder diffraction line list, copper Kα. Input: a structure optimized by DFT (GGA+U).
Kinematic intensities with the Lorentz-polarization factor, no thermal factor.

Top 6 peaks for 10° ≤ 2θ ≤ 90°, in order of rising 2θ:
| Position (°2θ) | I_rel |
| --- | --- |
| 18.56 | 93 |
| 37.65 | 34 |
| 37.72 | 33 |
| 43.42 | 52 |
| 43.98 | 100 |
| 63.52 | 57 |

```
data_Li3Ni5O8
_cell_length_a 10.165
_cell_length_b 5.815
_cell_length_c 15.170
_cell_angle_alpha 90.00
_cell_angle_beta 108.96
_cell_angle_gamma 90.00
_symmetry_space_group_name_H-M 'C 1 2/m 1'
_symmetry_Int_Tables_number 12
loop_
_symmetry_equiv_pos_as_xyz
'x,y,z'
'-x,-y,-z'
'-x,y,-z'
'x,-y,z'
'x+1/2,y+1/2,z'
'-x+1/2,-y+1/2,-z'
'-x+1/2,y+1/2,-z'
'x+1/2,-y+1/2,z'
loop_
_atom_site_label
_atom_site_fract_x
_atom_site_fract_y
_atom_site_fract_z
Li1 0.000 0.000 0.000
Li2 0.082 0.250 0.332
Li3 0.164 0.000 0.665
Li4 0.250 0.250 0.000
Ni1 0.000 0.249 0.500
Ni2 0.000 0.500 0.000
Ni3 0.085 0.000 0.834
Ni4 0.085 0.500 0.834
Ni5 0.165 0.250 0.167
Ni6 0.170 0.500 0.667
Ni7 0.250 0.000 0.502
O1 0.035 0.500 0.423
O2 0.042 0.000 0.428
O3 0.042 0.255 0.915
O4 0.107 0.500 0.239
O5 0.125 0.000 0.245
O6 0.127 0.256 0.752
O7 0.206 0.500 0.088
O8 0.211 0.258 0.582
O9 0.223 0.000 0.095
```